The following is a theoretical XRD peak list of LiTlAsBr2. It was derived from a crystal structure in Alexandria, relaxed with PBE, using copper Kα.
Neutral-atom scattering factors, no anomalous dispersion.

Structure:
```
data_LiTlAsBr2
_space_group_name_H-M_alt 'P 1 m 1'
_space_group_IT_number 6
_cell_length_a 5.257
_cell_length_b 3.592
_cell_length_c 7.969
_cell_angle_alpha 90.00
_cell_angle_beta 98.95
_cell_angle_gamma 90.00
loop_
_space_group_symop_operation_xyz
'x,y,z'
'x,-y,z'
loop_
_atom_site_label
_atom_site_fract_x
_atom_site_fract_y
_atom_site_fract_z
Li1 0.000 0.000 0.000
Tl1 0.573 0.000 0.395
As1 0.749 0.500 0.732
Br1 0.016 0.500 0.231
Br2 0.320 0.500 0.829
```

Most intense lines, 2θ = 5–70°, most intense first:
- hkl 0 1 1, 2θ 27.3, I 100
- hkl 0 0 2, 2θ 22.6, I 79
- hkl 0 0 1, 2θ 11.2, I 75
- hkl 1 1 1, 2θ 33.3, I 74
- hkl 0 1 2, 2θ 33.8, I 72
- hkl 2 0 -1, 2θ 34.7, I 70
- hkl 1 1 -1, 2θ 31.4, I 64
- hkl 1 1 0, 2θ 30.3, I 60
- hkl 1 0 1, 2θ 21.9, I 52
- hkl 1 0 0, 2θ 17.1, I 46